# 1
Starting from DFT lattice parameters and positions (GGA-PBE), the X-ray diffraction stick pattern of Na2H2CO4 was simulated for Cu Kα, 1.54184 Å.
No peak broadening, texture or thermal motion is included.

Structure:
```
data_Na2H2CO4
_chemical_formula_sum 'Na8 H8 C4 O16'
_space_group_name_H-M_alt 'P 1'
_space_group_IT_number 1
_space_group_name_Hall 'P 1'
_cell_length_a 10.8177
_cell_length_b 5.3185
_cell_length_c 6.5080
_cell_angle_alpha 90.00
_cell_angle_beta 90.00
_cell_angle_gamma 90.00
loop_
_atom_site_label
_atom_site_type_symbol
_atom_site_fract_x
_atom_site_fract_y
_atom_site_fract_z
Na1 Na 0.0010 0.1342 0.0000
Na2 Na 0.1910 0.6443 0.9293
Na3 Na 0.3090 0.6443 0.4293
Na4 Na 0.4990 0.1342 0.5000
Na5 Na 0.5010 0.8658 0.0000
Na6 Na 0.6910 0.3557 0.9293
Na7 Na 0.8090 0.3557 0.4293
Na8 Na 0.9990 0.8658 0.5000
H1 H 0.0644 0.3204 0.5792
H2 H 0.0909 0.3948 0.3511
H3 H 0.4091 0.3948 0.8511
H4 H 0.4356 0.3204 0.0792
H5 H 0.5644 0.6796 0.5792
H6 H 0.5909 0.6052 0.3511
H7 H 0.9091 0.6052 0.8511
H8 H 0.9356 0.6796 0.0792
C1 C 0.2468 0.1124 0.2165
C2 C 0.2532 0.1124 0.7165
C3 C 0.7468 0.8876 0.2165
C4 C 0.7532 0.8876 0.7165
O1 O 0.0292 0.4238 0.4654
O2 O 0.1343 0.0691 0.7257
O3 O 0.1691 0.9275 0.2277
O4 O 0.2075 0.3430 0.1960
O5 O 0.2925 0.3430 0.6960
O6 O 0.3309 0.9275 0.7277
O7 O 0.3657 0.0691 0.2257
O8 O 0.4708 0.4238 0.9654
O9 O 0.5292 0.5762 0.4654
O10 O 0.6343 0.9309 0.7257
O11 O 0.6691 0.0725 0.2277
O12 O 0.7075 0.6570 0.1960
O13 O 0.7925 0.6570 0.6960
O14 O 0.8309 0.0725 0.7277
O15 O 0.8657 0.9309 0.2257
O16 O 0.9708 0.5762 0.9654
```

Main lines, sorted by position (2θ = 15–90°):
index  2theta  d/Å  I_rel
2 0 2  32.10  2.788  100
0 1 2  32.25  2.776  53
3 1 1  33.02  2.713  34
1 1 2  33.33  2.689  62
4 0 1  35.96  2.497  36
1 2 1  37.47  2.400  88
4 1 1  39.88  2.261  23
4 0 2  43.51  2.080  21
3 2 1  44.57  2.033  41
0 0 4  56.61  1.626  47



# 2
Starting from DFT lattice parameters and positions (GGA-PBE), the X-ray diffraction stick pattern of Na5H3C4O12 was simulated for Cu Kα, 1.54184 Å.
No peak broadening, texture or thermal motion is included.

Structure:
```
data_Na5H3C4O12
_chemical_formula_sum 'Na10 H6 C8 O24'
_space_group_name_H-M_alt 'P 1'
_space_group_IT_number 1
_space_group_name_Hall 'P 1'
_cell_length_a 3.5408
_cell_length_b 10.1478
_cell_length_c 15.7101
_cell_angle_alpha 107.75
_cell_angle_beta 95.66
_cell_angle_gamma 94.94
loop_
_atom_site_label
_atom_site_type_symbol
_atom_site_fract_x
_atom_site_fract_y
_atom_site_fract_z
Na1 Na 0.0759 0.2855 0.1918
Na2 Na 0.2750 0.2489 0.9771
Na3 Na 0.2876 0.1744 0.5496
Na4 Na 0.3087 0.6817 0.5980
Na5 Na 0.3183 0.7818 0.2204
Na6 Na 0.6817 0.2182 0.7796
Na7 Na 0.6913 0.3183 0.4020
Na8 Na 0.7124 0.8256 0.4504
Na9 Na 0.7250 0.7511 0.0229
Na10 Na 0.9241 0.7145 0.8082
H1 H 0.0000 0.0000 0.0000
H2 H 0.0000 0.5000 0.0000
H3 H 0.2361 0.9697 0.7517
H4 H 0.4919 0.4566 0.7434
H5 H 0.5081 0.5434 0.2566
H6 H 0.7639 0.0303 0.2483
C1 C 0.0773 0.0249 0.3614
C2 C 0.2547 0.4945 0.8816
C3 C 0.2699 0.5608 0.3691
C4 C 0.3599 0.0292 0.1218
C5 C 0.6401 0.9708 0.8782
C6 C 0.7301 0.4392 0.6309
C7 C 0.7453 0.5055 0.1184
C8 C 0.9227 0.9751 0.6386
O1 O 0.1249 0.1572 0.3914
O2 O 0.1279 0.0396 0.7216
O3 O 0.1418 0.5709 0.9578
O4 O 0.1909 0.0871 0.0650
O5 O 0.2022 0.4283 0.3456
O6 O 0.2054 0.9439 0.4019
O7 O 0.2056 0.6461 0.4424
O8 O 0.2370 0.3623 0.8625
O9 O 0.3150 0.8972 0.1043
O10 O 0.3815 0.5616 0.8299
O11 O 0.4334 0.6191 0.3115
O12 O 0.4406 0.8858 0.8053
O13 O 0.5594 0.1142 0.1947
O14 O 0.5666 0.3809 0.6885
O15 O 0.6185 0.4384 0.1701
O16 O 0.6850 0.1028 0.8957
O17 O 0.7630 0.6377 0.1375
O18 O 0.7944 0.3539 0.5576
O19 O 0.7946 0.0561 0.5981
O20 O 0.7978 0.5717 0.6544
O21 O 0.8091 0.9129 0.9350
O22 O 0.8582 0.4291 0.0422
O23 O 0.8721 0.9604 0.2784
O24 O 0.8751 0.8428 0.6086
```

Main lines, sorted by position (2θ = 15–90°):
index  2theta  d/Å  I_rel
-1 1 2  28.54  3.127  65
0 2 -5  29.98  2.981  100
1 1 1  30.16  2.963  97
1 -2 2  31.14  2.872  62
-1 1 3  31.55  2.836  63
1 1 2  33.18  2.700  63
1 2 -3  33.39  2.683  83
1 -3 2  35.85  2.505  41
-1 2 3  36.27  2.477  41
0 1 6  40.46  2.230  72